Computed PXRD pattern of Sr3Tl4Pd4 for Cu Kα, 1.54184 Å, from DFT lattice parameters and positions (PBE).

Atomic structure:
```
data_Sr3Tl4Pd4
_chemical_formula_sum 'Sr6 Tl8 Pd8'
_cell_length_a 4.477
_cell_length_b 8.213
_cell_length_c 15.345
_cell_angle_alpha 90.00
_cell_angle_beta 90.00
_cell_angle_gamma 90.00
_space_group_name_H-M_alt 'I m m m'
_space_group_IT_number 71
_space_group_name_Hall '-I 2 2'
loop_
_atom_site_label
_atom_site_type_symbol
_atom_site_fract_x
_atom_site_fract_y
_atom_site_fract_z
Sr1 Sr 0.000 0.000 0.000
Sr2 Sr 0.000 0.500 0.123
Tl1 Tl 0.000 0.301 0.332
Pd1 Pd 0.000 0.000 0.218
Pd2 Pd 0.000 0.175 0.500
```

Principal peaks in the range 10 to 90 degrees two-theta, by angle:
h k l	2θ/deg	I/Imax
0 0 2	11.53	42
1 2 1	30.10	100
1 1 4	32.61	66
1 2 3	34.43	64
0 0 6	35.09	35
0 3 3	37.25	53
2 0 0	40.32	94
2 3 3	56.03	33

***

Computed PXRD pattern of Sr3Tl8Pd3 for Cu Kα, 1.54184 Å, from DFT lattice parameters and positions (PBE).

Atomic structure:
```
data_Sr3Tl8Pd3
_chemical_formula_sum 'Sr6 Tl16 Pd6'
_cell_length_a 17.885
_cell_length_b 5.180
_cell_length_c 9.734
_cell_angle_alpha 90.00
_cell_angle_beta 122.56
_cell_angle_gamma 90.00
_space_group_name_H-M_alt 'C 1 2/m 1'
_space_group_IT_number 12
loop_
_space_group_symop_operation_xyz
'x,y,z'
'-x,-y,-z'
'-x,y,-z'
'x,-y,z'
'x+1/2,y+1/2,z'
'-x+1/2,-y+1/2,-z'
'-x+1/2,y+1/2,-z'
'x+1/2,-y+1/2,z'
loop_
_atom_site_label
_atom_site_type_symbol
_atom_site_fract_x
_atom_site_fract_y
_atom_site_fract_z
Sr1 Sr 0.000 0.000 0.000
Sr2 Sr 0.216 0.500 0.714
Tl1 Tl 0.004 0.500 0.335
Tl2 Tl 0.138 0.000 0.838
Tl3 Tl 0.147 0.000 0.443
Tl4 Tl 0.152 0.500 0.040
Pd1 Pd 0.000 0.000 0.500
Pd2 Pd 0.160 0.500 0.330
```

Principal peaks in the range 10 to 90 degrees two-theta, by angle:
h k l	2θ/deg	I/Imax
3 1 1	30.73	61
5 1 -2	30.94	53
3 1 -3	32.56	20
0 2 0	34.64	100
6 0 0	35.74	30
7 1 -3	40.74	31
5 1 -4	41.46	22
6 2 0	50.64	28

***

Computed PXRD pattern of SrTl4Pd6 for Cu Kα, 1.54184 Å, from DFT lattice parameters and positions (PBE).

Atomic structure:
```
data_SrTl4Pd6
_chemical_formula_sum 'Sr1 Tl4 Pd6'
_cell_length_a 7.6398
_cell_length_b 7.6398
_cell_length_c 4.6273
_cell_angle_alpha 90.00
_cell_angle_beta 90.00
_cell_angle_gamma 120.00
_space_group_name_H-M_alt 'P -6'
_space_group_IT_number 174
loop_
_space_group_symop_operation_xyz
'x,y,z'
'-x+y,-x,-z'
'-y,x-y,z'
'x,y,-z'
'-x+y,-x,z'
'-y,x-y,-z'
loop_
_atom_site_label
_atom_site_type_symbol
_atom_site_fract_x
_atom_site_fract_y
_atom_site_fract_z
Sr1 Sr 0.0000 0.0000 0.0000
Tl1 Tl 0.1207 0.7322 0.5000
Tl2 Tl 0.6667 0.3333 0.0000
Pd1 Pd 0.0947 0.4916 0.0000
Pd2 Pd 0.4259 0.1343 0.5000
```

Principal peaks in the range 10 to 90 degrees two-theta, by angle:
h k l	2θ/deg	I/Imax
1 0 0	13.38	22
1 1 1	30.34	51
2 1 0	35.91	37
0 0 2	38.93	32
2 1 1	41.03	100
2 1 2	53.99	23
1 4 0	64.56	20
1 4 2	78.01	19

***

Computed PXRD pattern of SrTl4Pd6 for Cu Kα, 1.54184 Å, from DFT lattice parameters and positions (PBE).

Atomic structure:
```
data_SrTl4Pd6
_chemical_formula_sum 'Sr2 Tl8 Pd12'
_cell_length_a 6.865
_cell_length_b 6.865
_cell_length_c 10.607
_cell_angle_alpha 90.00
_cell_angle_beta 90.00
_cell_angle_gamma 90.00
_space_group_name_H-M_alt 'I -4 2 m'
_space_group_IT_number 121
_space_group_name_Hall 'I -4 2'
loop_
_atom_site_label
_atom_site_type_symbol
_atom_site_fract_x
_atom_site_fract_y
_atom_site_fract_z
Sr1 Sr 0.000 0.000 0.000
Tl1 Tl 0.213 0.213 0.312
Pd1 Pd 0.000 0.500 0.000
Pd2 Pd 0.160 0.160 0.585
```

Principal peaks in the range 10 to 90 degrees two-theta, by angle:
h k l	2θ/deg	I/Imax
1 0 1	15.37	31
2 0 0	25.96	46
2 0 2	31.03	89
2 2 0	37.04	55
1 1 4	38.69	100
2 1 3	38.85	41
3 0 1	40.32	35
3 1 2	45.13	29

***

Computed PXRD pattern of Sr4Tl5Pd6 for Cu Kα, 1.54184 Å, from DFT lattice parameters and positions (PBE).

Atomic structure:
```
data_Sr4Tl5Pd6
_chemical_formula_sum 'Sr16 Tl20 Pd24'
_cell_length_a 4.411
_cell_length_b 22.119
_cell_length_c 15.670
_cell_angle_alpha 90.00
_cell_angle_beta 90.00
_cell_angle_gamma 90.00
_space_group_name_H-M_alt 'C m c 21'
_space_group_IT_number 36
loop_
_space_group_symop_operation_xyz
'x,y,z'
'-x,-y,z+1/2'
'-x,y,z'
'x,-y,z+1/2'
'x+1/2,y+1/2,z'
'-x+1/2,-y+1/2,z+1/2'
'-x+1/2,y+1/2,z'
'x+1/2,-y+1/2,z+1/2'
loop_
_atom_site_label
_atom_site_type_symbol
_atom_site_fract_x
_atom_site_fract_y
_atom_site_fract_z
Sr1 Sr 0.000 0.029 0.000
Sr2 Sr 0.000 0.073 0.276
Sr3 Sr 0.000 0.114 0.776
Sr4 Sr 0.000 0.191 0.455
Tl1 Tl 0.000 0.189 0.090
Tl2 Tl 0.000 0.299 0.760
Tl3 Tl 0.000 0.331 0.121
Tl4 Tl 0.000 0.361 0.440
Tl5 Tl 0.000 0.482 0.160
Pd1 Pd 0.000 0.089 0.588
Pd2 Pd 0.000 0.216 0.907
Pd3 Pd 0.000 0.278 0.290
Pd4 Pd 0.000 0.390 0.626
Pd5 Pd 0.000 0.420 0.968
Pd6 Pd 0.000 0.482 0.350
```

Principal peaks in the range 10 to 90 degrees two-theta, by angle:
h k l	2θ/deg	I/Imax
1 1 3	26.75	32
1 5 2	30.81	100
1 5 3	33.42	45
0 2 6	35.37	57
0 8 3	36.80	25
1 7 3	39.08	25
2 0 0	40.92	47
1 7 4	42.05	30

***

Computed PXRD pattern of SrTl2Pd4 for Cu Kα, 1.54184 Å, from DFT lattice parameters and positions (PBE).

Atomic structure:
```
data_SrTl2Pd4
_chemical_formula_sum 'Sr2 Tl4 Pd8'
_cell_length_a 8.144
_cell_length_b 8.144
_cell_length_c 4.471
_cell_angle_alpha 90.00
_cell_angle_beta 90.00
_cell_angle_gamma 90.00
_space_group_name_H-M_alt 'P 42/m n m'
_space_group_IT_number 136
_space_group_name_Hall '-P 4n 2n'
loop_
_atom_site_label
_atom_site_type_symbol
_atom_site_fract_x
_atom_site_fract_y
_atom_site_fract_z
Sr1 Sr 0.000 0.000 0.000
Tl1 Tl 0.217 0.217 0.500
Pd1 Pd 0.096 0.642 0.500
```

Principal peaks in the range 10 to 90 degrees two-theta, by angle:
h k l	2θ/deg	I/Imax
2 0 0	21.83	18
1 1 1	25.22	15
2 2 0	31.06	20
2 1 1	31.69	30
2 2 1	37.14	34
0 0 2	40.40	100
4 1 0	45.95	18
4 1 2	62.78	14

***

Computed PXRD pattern of Sr3Tl2Pd6 for Cu Kα, 1.54184 Å, from DFT lattice parameters and positions (PBE).

Atomic structure:
```
data_Sr3Tl2Pd6
_chemical_formula_sum 'Sr12 Tl8 Pd24'
_cell_length_a 10.098
_cell_length_b 10.098
_cell_length_c 10.098
_cell_angle_alpha 90.00
_cell_angle_beta 90.00
_cell_angle_gamma 90.00
_space_group_name_H-M_alt 'I m -3 m'
_space_group_IT_number 229
_space_group_name_Hall '-I 4 2 3'
loop_
_atom_site_label
_atom_site_type_symbol
_atom_site_fract_x
_atom_site_fract_y
_atom_site_fract_z
Sr1 Sr 0.000 0.000 0.302
Tl1 Tl 0.250 0.250 0.250
Pd1 Pd 0.000 0.335 0.335
```

Principal peaks in the range 10 to 90 degrees two-theta, by angle:
h k l	2θ/deg	I/Imax
1 1 0	12.40	33
2 0 0	17.57	32
2 2 2	30.67	30
3 3 0	37.80	100
4 2 0	39.93	57
4 2 2	43.93	32
6 2 2	60.85	27
6 3 3	68.25	31

***

Computed PXRD pattern of Sr3Tl5Pd6 for Cu Kα, 1.54184 Å, from DFT lattice parameters and positions (PBE).

Atomic structure:
```
data_Sr3Tl5Pd6
_chemical_formula_sum 'Sr6 Tl10 Pd12'
_cell_length_a 4.748
_cell_length_b 10.170
_cell_length_c 13.829
_cell_angle_alpha 90.00
_cell_angle_beta 90.00
_cell_angle_gamma 90.00
_space_group_name_H-M_alt 'I m m m'
_space_group_IT_number 71
_space_group_name_Hall '-I 2 2'
loop_
_atom_site_label
_atom_site_type_symbol
_atom_site_fract_x
_atom_site_fract_y
_atom_site_fract_z
Sr1 Sr 0.000 0.000 0.000
Sr2 Sr 0.000 0.000 0.319
Tl1 Tl 0.000 0.342 0.321
Tl2 Tl 0.000 0.500 0.000
Pd1 Pd 0.000 0.196 0.500
Pd2 Pd 0.000 0.273 0.112
```

Principal peaks in the range 10 to 90 degrees two-theta, by angle:
h k l	2θ/deg	I/Imax
1 0 3	26.96	79
1 2 3	32.29	46
1 3 0	32.45	58
0 3 3	32.79	65
1 3 2	35.02	100
1 0 5	37.65	86
2 0 0	37.90	96
1 2 5	41.76	72

***

Computed PXRD pattern of Sr3TlPd4 for Cu Kα, 1.54184 Å, from DFT lattice parameters and positions (PBE).

Atomic structure:
```
data_Sr3TlPd4
_chemical_formula_sum 'Sr12 Tl4 Pd16'
_cell_length_a 11.436
_cell_length_b 6.003
_cell_length_c 11.660
_cell_angle_alpha 90.00
_cell_angle_beta 90.09
_cell_angle_gamma 90.00
_space_group_name_H-M_alt 'P 1 21/c 1'
_space_group_IT_number 14
loop_
_space_group_symop_operation_xyz
'x,y,z'
'-x,-y,-z'
'-x,y+1/2,-z+1/2'
'x,-y+1/2,z+1/2'
loop_
_atom_site_label
_atom_site_type_symbol
_atom_site_fract_x
_atom_site_fract_y
_atom_site_fract_z
Sr1 Sr 0.004 0.139 0.154
Sr2 Sr 0.250 0.650 0.051
Sr3 Sr 0.496 0.139 0.154
Tl1 Tl 0.250 0.138 0.812
Pd1 Pd 0.062 0.133 0.422
Pd2 Pd 0.250 0.149 0.062
Pd3 Pd 0.250 0.609 0.778
Pd4 Pd 0.438 0.133 0.422
```

Principal peaks in the range 10 to 90 degrees two-theta, by angle:
h k l	2θ/deg	I/Imax
1 1 0	16.68	36
4 0 0	31.29	68
1 0 -4	31.70	56
2 2 -1	34.62	84
2 1 -4	37.74	37
0 2 3	37.87	60
3 0 4	38.91	100
3 2 1	38.98	31

***

Computed PXRD pattern of Sr3Tl7Pd4 for Cu Kα, 1.54184 Å, from DFT lattice parameters and positions (PBE).

Atomic structure:
```
data_Sr3Tl7Pd4
_chemical_formula_sum 'Sr6 Tl14 Pd8'
_cell_length_a 17.569
_cell_length_b 4.668
_cell_length_c 10.520
_cell_angle_alpha 90.00
_cell_angle_beta 122.33
_cell_angle_gamma 90.00
_space_group_name_H-M_alt 'C 1 2/m 1'
_space_group_IT_number 12
loop_
_space_group_symop_operation_xyz
'x,y,z'
'-x,-y,-z'
'-x,y,-z'
'x,-y,z'
'x+1/2,y+1/2,z'
'-x+1/2,-y+1/2,-z'
'-x+1/2,y+1/2,-z'
'x+1/2,-y+1/2,z'
loop_
_atom_site_label
_atom_site_type_symbol
_atom_site_fract_x
_atom_site_fract_y
_atom_site_fract_z
Sr1 Sr 0.000 0.000 0.000
Sr2 Sr 0.190 0.500 0.700
Tl1 Tl 0.000 0.000 0.500
Tl2 Tl 0.003 0.500 0.278
Tl3 Tl 0.164 0.000 0.431
Tl4 Tl 0.185 0.500 0.033
Pd1 Pd 0.119 0.000 0.838
Pd2 Pd 0.162 0.500 0.274
```

Principal peaks in the range 10 to 90 degrees two-theta, by angle:
h k l	2θ/deg	I/Imax
2 0 -2	16.90	40
1 1 2	30.61	100
5 1 -2	32.14	63
5 1 -3	34.94	36
6 0 0	36.31	46
0 2 0	38.58	62
6 2 0	54.01	30
9 1 -6	60.87	29

***

Computed PXRD pattern of SrVPd3 for Cu Kα, 1.54184 Å, from DFT lattice parameters and positions (PBE).

Atomic structure:
```
data_SrVPd3
_chemical_formula_sum 'Sr1 V1 Pd3'
_cell_length_a 4.793
_cell_length_b 4.793
_cell_length_c 4.793
_cell_angle_alpha 90.00
_cell_angle_beta 90.00
_cell_angle_gamma 90.00
_space_group_name_H-M_alt 'P m -3 m'
_space_group_IT_number 221
_space_group_name_Hall '-P 4 2 3'
loop_
_atom_site_label
_atom_site_type_symbol
_atom_site_fract_x
_atom_site_fract_y
_atom_site_fract_z
Sr1 Sr 0.000 0.000 0.000
V1 V 0.500 0.500 0.500
Pd1 Pd 0.000 0.500 0.500
```

Principal peaks in the range 10 to 90 degrees two-theta, by angle:
h k l	2θ/deg	I/Imax
1 0 0	18.51	12
1 1 1	32.35	100
2 0 0	37.53	81
2 2 0	54.12	55
3 1 1	64.48	40
2 2 2	67.72	18
4 0 0	80.09	9
3 3 1	89.03	17

***

What is the formula in the tenth record?
Sr3Tl7Pd4

***

Please write out number 9 again, unchanged.
Computed PXRD pattern of Sr3TlPd4 for Cu Kα, 1.54184 Å, from DFT lattice parameters and positions (PBE).

Atomic structure:
```
data_Sr3TlPd4
_chemical_formula_sum 'Sr12 Tl4 Pd16'
_cell_length_a 11.436
_cell_length_b 6.003
_cell_length_c 11.660
_cell_angle_alpha 90.00
_cell_angle_beta 90.09
_cell_angle_gamma 90.00
_space_group_name_H-M_alt 'P 1 21/c 1'
_space_group_IT_number 14
loop_
_space_group_symop_operation_xyz
'x,y,z'
'-x,-y,-z'
'-x,y+1/2,-z+1/2'
'x,-y+1/2,z+1/2'
loop_
_atom_site_label
_atom_site_type_symbol
_atom_site_fract_x
_atom_site_fract_y
_atom_site_fract_z
Sr1 Sr 0.004 0.139 0.154
Sr2 Sr 0.250 0.650 0.051
Sr3 Sr 0.496 0.139 0.154
Tl1 Tl 0.250 0.138 0.812
Pd1 Pd 0.062 0.133 0.422
Pd2 Pd 0.250 0.149 0.062
Pd3 Pd 0.250 0.609 0.778
Pd4 Pd 0.438 0.133 0.422
```

Principal peaks in the range 10 to 90 degrees two-theta, by angle:
h k l	2θ/deg	I/Imax
1 1 0	16.68	36
4 0 0	31.29	68
1 0 -4	31.70	56
2 2 -1	34.62	84
2 1 -4	37.74	37
0 2 3	37.87	60
3 0 4	38.91	100
3 2 1	38.98	31